Entry 1:
For Pm5Er4In, a PBE-relaxed structure gives the simulated powder diffractogram in this record (Cu Kα, 1.54184 Å).
Neutral-atom scattering factors, no anomalous dispersion.

Top 10 peaks for 15 to 90 degrees two-theta, low angle first:
| Position (°2θ) | I (rel.) |
| --- | --- |
| 29.4 | 100.0 |
| 30.2 | 15.9 |
| 32.6 | 10.3 |
| 34.7 | 13.7 |
| 35.9 | 39.5 |
| 47.6 | 14.5 |
| 51.7 | 11.9 |
| 53.2 | 16.8 |
| 59.7 | 9.3 |
| 60.6 | 18.0 |

Cell and atoms:
Unit cell a=8.0628 b=8.0628 c=8.0628 alpha=97.72 beta=97.72 gamma=136.99
Element x y z (fractional)
Pm  0.0000  0.0000  0.0000
Pm  0.5322  0.5322  0.6250
Pm  0.5322  0.9071  0.0000
Pm  0.9071  0.5322  0.0000
Pm  0.9071  0.9071  0.3750
Er  0.2118  0.5307  0.3189
Er  0.2118  0.8929  0.6811
Er  0.5307  0.2118  0.3189
Er  0.8929  0.2118  0.6811
In  0.4803  0.4803  0.0000

Entry 2:
For PmEr5In, a PBE-relaxed structure gives the simulated powder diffractogram in this record (Cu Kα, 1.54184 Å).
Neutral-atom scattering factors, no anomalous dispersion.

Top 10 peaks for 15 to 90 degrees two-theta, low angle first:
| Position (°2θ) | I (rel.) |
| --- | --- |
| 27.9 | 21.7 |
| 28.2 | 30.6 |
| 32.1 | 44.2 |
| 32.3 | 60.9 |
| 32.5 | 29.8 |
| 33.1 | 100.0 |
| 38.4 | 16.1 |
| 39.9 | 25.9 |
| 40.6 | 15.8 |
| 52.4 | 21.3 |

Cell and atoms:
Unit cell a=7.1015 b=7.1015 c=7.1015 alpha=128.25 beta=125.96 gamma=78.09
Element x y z (fractional)
Pm  0.0000  0.0000  0.0000
Er  0.3375  0.0919  0.7544
Er  0.3375  0.5831  0.2456
Er  0.3739  0.6112  0.7627
Er  0.8486  0.6112  0.2373
Er  0.8571  0.3571  0.5000
In  0.5863  0.0863  0.5000